The following is a simulated XRD peak list of LiThMg2Zn2. It was derived from DFT lattice parameters and positions (GGA-PBE), using CuKα.
Neutral-atom scattering factors, no anomalous dispersion.

Largest 8 diffraction maxima, in order of rising 2θ, 15° ≤ 2θ ≤ 90°:
2θ = 21.81°, rel. 21.8
2θ = 25.69°, rel. 100.0
2θ = 34.98°, rel. 82.8
2θ = 38.26°, rel. 57.0
2θ = 40.71°, rel. 24.0
2θ = 46.92°, rel. 21.6
2θ = 52.80°, rel. 25.8
2θ = 67.05°, rel. 25.0

Structural model:
Unit cell a=4.7053 b=4.7053 c=6.6030 alpha=90.00 beta=90.00 gamma=120.00
Sites, in units of the cell vectors:
Li: 0.0000 0.0000 0.0000
Th: 0.0000 0.0000 0.5000
Mg: 0.3333 0.6667 0.1715
Mg: 0.6667 0.3333 0.8285
Zn: 0.3333 0.6667 0.7308
Zn: 0.6667 0.3333 0.2692

The following is a simulated XRD peak list of Tb4Nd3In4. It was derived from DFT lattice parameters and positions (GGA-PBE), using CuKα.
Neutral-atom scattering factors, no anomalous dispersion.

Largest 8 diffraction maxima, in order of rising 2θ, 15° ≤ 2θ ≤ 90°:
2θ = 28.07°, rel. 25.4
2θ = 30.18°, rel. 53.4
2θ = 30.71°, rel. 100.0
2θ = 33.61°, rel. 50.7
2θ = 33.93°, rel. 28.6
2θ = 39.67°, rel. 39.4
2θ = 58.29°, rel. 22.6
2θ = 65.87°, rel. 22.8

Structural model:
Unit cell a=9.9365 b=9.9365 c=9.9365 alpha=148.86 beta=138.22 gamma=53.01
Sites, in units of the cell vectors:
Tb: 0.0554 0.8213 0.2340
Tb: 0.4127 0.1787 0.2340
Tb: 0.5873 0.8213 0.7660
Tb: 0.9446 0.1787 0.7660
Nd: 0.0000 0.5000 0.5000
Nd: 0.3969 0.3969 0.0000
Nd: 0.6031 0.6031 0.0000
In: 0.1775 0.6775 0.5000
In: 0.2873 0.0000 0.2873
In: 0.7127 0.0000 0.7127
In: 0.8225 0.3225 0.5000